Tc3Rh5: calculated XRD peak list (Cu Kα (λ = 1.5418 Å)), based on a GGA-PBE-relaxed structure.

Main lines, low angle first (2θ = 10–90°):
(hkl)	two_theta	I_rel
2 2 1	37.79	25
0 4 0	37.89	13
4 0 -2	41.47	38
0 2 2	43.24	51
4 2 0	43.39	100
4 4 -2	57.44	14
4 0 2	68.16	8
2 6 1	68.37	17
4 2 -4	76.77	9
8 2 -2	77.03	18
8 0 0	83.16	14
6 6 -1	83.32	10

Atomic structure:
abc: 10.284 9.497 5.161
angles: 90.00 115.43 90.00
Space group C2/c (No. 15)
One atom of each set of equivalent atoms:
Tc (0.000, 0.042, 0.250) [4 per cell]
Tc (0.126, 0.291, 0.500) [8 per cell]
Rh (0.000, 0.461, 0.750) [4 per cell]
Rh (0.125, 0.208, 0.005) [8 per cell]
Rh (0.247, 0.042, 0.743) [8 per cell]